Record 1
# Pr7Al7Co6
Theoretical powder diffraction line list, Cu Ka. Input: a cell relaxed with PBE.

Structural model:
```
Pr7Al7Co6
1.0
13.957 0.000 0.000
0.000 13.957 0.000
0.000 0.000 4.207
Pr Al Co
14 14 12
Cartesian
0.000 0.000 0.000
0.663 3.654 0.000
1.834 8.812 2.103
3.324 6.316 0.000
3.654 13.294 0.000
5.145 1.834 2.103
6.316 10.633 0.000
6.978 6.978 0.000
7.641 3.324 0.000
8.812 12.123 2.103
10.302 0.663 0.000
10.633 7.641 0.000
12.123 5.145 2.103
13.294 10.302 0.000
0.000 6.978 0.000
1.377 12.015 2.103
1.942 1.377 2.103
2.995 3.984 2.103
3.984 10.962 2.103
5.037 8.355 2.103
5.601 5.037 2.103
6.978 0.000 0.000
8.355 8.920 2.103
8.920 5.601 2.103
9.973 2.995 2.103
10.962 9.973 2.103
12.015 12.580 2.103
12.580 1.942 2.103
1.019 5.960 2.103
2.307 11.011 0.000
2.946 2.307 0.000
4.033 9.285 0.000
4.671 4.033 0.000
5.960 12.938 2.103
7.997 1.019 2.103
9.285 9.924 0.000
9.924 4.671 0.000
11.011 11.650 0.000
11.650 2.946 0.000
12.938 7.997 2.103
```

Principal peaks in the range 15° ≤ 2θ ≤ 90°, in order of rising 2θ:
d 3.870, intensity 28
d 3.489, intensity 36
d 2.686, intensity 100
d 2.592, intensity 54
d 2.506, intensity 24
d 2.467, intensity 22
d 2.326, intensity 48
d 2.295, intensity 37
d 2.103, intensity 35
d 1.570, intensity 23

---

Record 2
# Nb4FeB3
Theoretical powder diffraction line list, Cu Ka. Input: a cell relaxed with PBE.

Structural model:
```
Nb4FeB3
1.0
3.239 0.000 0.000
-1.620 2.805 0.000
0.000 0.000 23.390
Nb Fe B
8 2 6
Cartesian
0.000 0.000 3.986
0.000 0.000 7.709
0.000 0.000 15.682
0.000 0.000 19.404
0.000 1.870 1.324
0.000 1.870 10.371
1.620 0.935 13.019
1.620 0.935 22.066
0.000 1.870 5.848
1.620 0.935 17.543
0.000 0.000 0.000
0.000 0.000 11.695
0.000 1.870 14.400
0.000 1.870 20.685
1.620 0.935 2.705
1.620 0.935 8.990
```

Principal peaks in the range 15° ≤ 2θ ≤ 90°, in order of rising 2θ:
d 2.924, intensity 22
d 2.785, intensity 23
d 2.728, intensity 41
d 2.529, intensity 20
d 2.406, intensity 72
d 2.339, intensity 17
d 2.277, intensity 100
d 1.620, intensity 46
d 1.601, intensity 18
d 1.320, intensity 16

---

Record 3
# NaHfCuTe2S
Theoretical powder diffraction line list, Cu Ka. Input: a cell relaxed with PBE.

Structural model:
```
NaHfCuTe2S
1.0
8.205 0.000 0.000
0.000 3.935 0.000
-3.017 0.000 9.271
Na Hf Cu Te S
2 2 2 4 2
Cartesian
1.438 0.984 1.561
3.749 2.951 7.710
-0.414 2.951 6.383
5.601 0.984 2.888
0.704 0.984 8.419
4.484 2.951 0.852
-0.499 2.951 3.289
1.631 0.984 5.992
3.557 2.951 3.279
5.687 0.984 5.982
-0.624 2.951 8.841
5.812 0.984 0.430
```

Principal peaks in the range 15° ≤ 2θ ≤ 90°, in order of rising 2θ:
d 4.636, intensity 19
d 3.513, intensity 21
d 3.090, intensity 49
d 2.830, intensity 100
d 2.770, intensity 55
d 2.500, intensity 23
d 2.176, intensity 30
d 2.039, intensity 29
d 2.008, intensity 43
d 1.967, intensity 29

---

Record 4
# TlReAg3O4
Theoretical powder diffraction line list, Cu Ka. Input: a cell relaxed with PBE.

Structural model:
```
TlReAg3O4
1.0
5.749 0.000 0.000
0.000 5.749 0.000
0.000 0.000 5.749
Tl Re Ag O
1 1 3 4
Cartesian
0.000 0.000 0.000
2.875 2.875 2.875
0.000 2.875 2.875
2.875 0.000 2.875
2.875 2.875 0.000
1.776 1.776 1.776
1.776 3.973 3.973
3.973 1.776 3.973
3.973 3.973 1.776
```

Principal peaks in the range 15° ≤ 2θ ≤ 90°, in order of rising 2θ:
d 4.065, intensity 82
d 3.319, intensity 55
d 2.875, intensity 100
d 2.347, intensity 36
d 2.033, intensity 94
d 1.733, intensity 25
d 1.660, intensity 28
d 1.537, intensity 23
d 1.286, intensity 37
d 1.174, intensity 29

---

Record 5
# NaPb3Au2
Theoretical powder diffraction line list, Cu Ka. Input: a cell relaxed with PBE.

Structural model:
```
NaPb3Au2
1.0
0.000 5.207 5.274
2.846 0.000 5.274
2.846 5.207 0.000
Na Pb Au
1 3 2
Cartesian
0.000 0.000 0.000
2.846 5.207 3.304
2.846 3.548 6.957
2.846 6.866 6.957
1.423 2.604 4.361
4.269 7.811 9.635
```

Principal peaks in the range 15° ≤ 2θ ≤ 90°, in order of rising 2θ:
d 5.207, intensity 37
d 4.514, intensity 28
d 2.875, intensity 63
d 2.853, intensity 100
d 2.504, intensity 61
d 2.352, intensity 52
d 2.335, intensity 52
d 2.257, intensity 72
d 1.649, intensity 29
d 1.553, intensity 37

---

Record 6
# PrCo2SiB
Theoretical powder diffraction line list, Cu Ka. Input: a cell relaxed with PBE.

Structural model:
```
PrCo2SiB
1.0
-1.861 1.861 5.279
1.861 -1.861 5.279
1.861 1.861 -5.279
Pr Co Si B
1 2 1 1
Cartesian
0.000 0.000 0.000
1.861 0.000 2.847
0.000 1.861 2.847
0.000 0.000 6.874
0.000 0.000 3.641
```

Principal peaks in the range 15° ≤ 2θ ≤ 90°, in order of rising 2θ:
d 3.510, intensity 65
d 2.639, intensity 28
d 2.557, intensity 61
d 2.355, intensity 100
d 1.861, intensity 37
d 1.644, intensity 15
d 1.521, intensity 19
d 1.505, intensity 23
d 1.463, intensity 24
d 1.149, intensity 19

---

Record 7
# Zr4Cu3
Theoretical powder diffraction line list, Cu Ka. Input: a cell relaxed with PBE.

Structural model:
```
Zr4Cu3
1.0
8.067 0.000 0.000
-4.033 6.986 0.000
0.000 0.000 4.548
Zr Cu
8 6
Cartesian
-1.887 4.610 1.137
0.000 4.657 3.411
0.984 3.047 1.137
3.131 0.671 3.411
0.903 6.314 1.137
3.049 3.939 3.411
4.033 2.329 1.137
5.920 2.375 3.411
-3.026 5.877 3.411
0.457 1.426 3.411
1.463 0.318 1.137
2.570 6.668 3.411
3.577 5.560 1.137
7.060 1.108 1.137
```

Principal peaks in the range 15° ≤ 2θ ≤ 90°, in order of rising 2θ:
d 3.018, intensity 12
d 2.770, intensity 7
d 2.640, intensity 30
d 2.283, intensity 100
d 2.274, intensity 27
d 1.723, intensity 16
d 1.524, intensity 13
d 1.315, intensity 16
d 1.268, intensity 8
d 1.266, intensity 13

---

Record 8
# Cs2ZnP2Se6
Theoretical powder diffraction line list, Cu Ka. Input: a cell relaxed with PBE.

Structural model:
```
Cs2ZnP2Se6
1.0
7.855 0.000 0.000
-2.621 7.462 0.000
-3.180 -2.773 12.178
Cs Zn P Se
4 2 4 12
Cartesian
-1.303 1.117 4.813
0.539 2.770 1.153
1.516 1.919 11.025
3.358 3.571 7.365
1.175 -1.724 9.122
0.879 6.413 3.056
-2.783 4.151 11.721
-0.631 5.038 5.733
2.686 -0.349 6.445
4.837 0.538 0.457
-2.469 5.101 4.605
-0.933 6.544 1.300
-1.002 -1.750 10.358
-2.243 2.363 10.608
-0.744 3.843 7.625
0.942 0.308 7.690
1.113 4.381 4.488
2.799 0.845 4.553
4.297 2.326 1.570
3.057 6.438 1.820
2.988 -1.855 10.878
4.524 -0.412 7.573
```

Principal peaks in the range 15° ≤ 2θ ≤ 90°, in order of rising 2θ:
d 3.562, intensity 30
d 3.291, intensity 100
d 3.204, intensity 26
d 3.190, intensity 61
d 3.141, intensity 90
d 3.068, intensity 56
d 3.042, intensity 79
d 2.917, intensity 25
d 2.623, intensity 35
d 1.858, intensity 34

---

Record 9
# Ho2FeSi2
Theoretical powder diffraction line list, Cu Ka. Input: a cell relaxed with PBE.

Structural model:
```
Ho2FeSi2
1.0
5.220 -2.061 0.000
5.220 2.061 0.000
-4.867 0.000 8.642
Ho Fe Si
4 2 4
Cartesian
-0.826 0.000 1.490
-0.993 0.000 5.261
6.565 0.000 3.381
6.399 0.000 7.152
2.232 0.000 1.070
3.341 0.000 7.572
-0.948 0.000 8.090
3.406 0.000 3.226
2.167 0.000 5.416
6.520 0.000 0.552
```

Principal peaks in the range 15° ≤ 2θ ≤ 90°, in order of rising 2θ:
d 3.755, intensity 93
d 3.263, intensity 69
d 2.639, intensity 87
d 2.612, intensity 100
d 2.587, intensity 97
d 2.566, intensity 35
d 2.548, intensity 85
d 2.385, intensity 59
d 2.140, intensity 44
d 2.061, intensity 63

---

Record 10
# Cu5Ag4
Theoretical powder diffraction line list, Cu Ka. Input: a cell relaxed with PBE.

Structural model:
```
Cu5Ag4
1.0
4.376 -1.904 0.000
4.376 1.904 0.000
-2.635 0.000 7.832
Cu Ag
5 4
Cartesian
0.000 0.000 0.000
-0.848 0.000 2.546
-1.719 0.000 5.342
2.742 0.000 0.864
0.990 0.000 6.222
1.882 0.000 3.521
5.264 0.000 1.729
3.559 0.000 7.009
4.458 0.000 4.440
```

Principal peaks in the range 15° ≤ 2θ ≤ 90°, in order of rising 2θ:
d 2.237, intensity 100
d 2.232, intensity 99
d 1.956, intensity 33
d 1.947, intensity 31
d 1.904, intensity 30
d 1.364, intensity 19
d 1.361, intensity 19
d 1.177, intensity 11
d 1.175, intensity 11
d 1.153, intensity 21

---

Record 11
# HoNb2Si2P
Theoretical powder diffraction line list, Cu Ka. Input: a cell relaxed with PBE.

Structural model:
```
HoNb2Si2P
1.0
3.911 0.000 0.000
0.000 3.911 0.000
0.000 0.000 7.831
Ho Nb Si P
1 2 2 1
Cartesian
0.000 0.000 0.000
0.000 1.956 2.828
1.956 0.000 2.828
0.000 0.000 4.846
1.956 1.956 0.945
1.956 1.956 4.784
```

Principal peaks in the range 15° ≤ 2θ ≤ 90°, in order of rising 2θ:
d 3.913, intensity 35
d 3.499, intensity 36
d 2.767, intensity 26
d 2.608, intensity 100
d 2.259, intensity 61
d 1.956, intensity 34
d 1.750, intensity 20
d 1.598, intensity 22
d 1.565, intensity 24
d 1.222, intensity 29

---

Record 12
# Na2CoCl4
Theoretical powder diffraction line list, Cu Ka. Input: a cell relaxed with PBE.

Structural model:
```
Na2CoCl4
1.0
9.538 0.000 0.000
0.000 9.538 0.000
0.000 0.000 7.396
Na Co Cl
8 4 16
Cartesian
0.535 5.303 1.849
0.535 9.003 5.547
4.234 5.303 5.547
4.234 9.003 1.849
5.303 0.535 5.547
5.303 4.234 1.849
9.003 0.535 1.849
9.003 4.234 5.547
2.384 2.384 0.482
2.384 2.384 4.180
7.153 7.153 3.215
7.153 7.153 6.913
0.213 1.898 4.202
0.213 2.871 0.505
1.898 0.213 0.505
1.898 4.556 4.202
2.871 0.213 4.202
2.871 4.556 0.505
4.556 1.898 0.505
4.556 2.871 4.202
4.982 6.667 3.193
4.982 7.640 6.891
6.667 4.982 6.891
6.667 9.325 3.193
7.640 4.982 3.193
7.640 9.325 6.891
9.325 6.667 6.891
9.325 7.640 3.193
```

Principal peaks in the range 15° ≤ 2θ ≤ 90°, in order of rising 2θ:
d 3.448, intensity 100
d 3.242, intensity 28
d 2.922, intensity 30
d 2.793, intensity 52
d 2.384, intensity 35
d 2.208, intensity 30
d 2.134, intensity 34
d 1.961, intensity 27
d 1.815, intensity 29
d 1.597, intensity 28